Nd4Te3Pb: theoretical X-ray powder pattern (Cu Kα (λ = 1.5418 Å)), based on a crystal structure in Alexandria, relaxed with PBE.
Kinematic intensities with the Lorentz-polarization factor, no thermal factor.

Most intense lines, 10 to 80 degrees two-theta, in order of rising 2θ:
(hkl), 2θ (°), I_rel
1 0 1, 15.49, 3
2 0 0, 27.89, 100
2 2 0, 39.85, 77
2 2 4, 49.34, 28
0 0 8, 57.52, 4
4 0 0, 57.68, 9
2 0 8, 65.12, 12
4 2 0, 65.25, 24
2 2 8, 72.28, 9
4 2 4, 72.39, 18

Structural model:
```
data_Nd4Te3Pb
_cell_length_a 6.393
_cell_length_b 6.393
_cell_length_c 12.818
_cell_angle_alpha 90.00
_cell_angle_beta 90.00
_cell_angle_gamma 90.00
_symmetry_space_group_name_H-M 'I 4/m m m'
_symmetry_Int_Tables_number 139
_symmetry_space_group_name_Hall '-I 4 2'
loop_
_atom_site_label
_atom_site_fract_x
_atom_site_fract_y
_atom_site_fract_z
_atom_site_occupancy
Nd1 0.000 0.000 0.247 1
Nd2 0.000 0.500 0.000 1
Te1 0.000 0.000 0.500 1
Te2 0.000 0.500 0.250 1
Pb1 0.000 0.000 0.000 1
```



NdY4Er4: theoretical X-ray powder pattern (Cu Kα (λ = 1.5418 Å)), based on a crystal structure in Alexandria, relaxed with PBE.
Kinematic intensities with the Lorentz-polarization factor, no thermal factor.

Most intense lines, 10 to 80 degrees two-theta, in order of rising 2θ:
(hkl), 2θ (°), I_rel
1 2 3, 29.96, 87
0 2 3, 31.42, 53
1 -1 3, 31.48, 53
2 2 0, 31.79, 92
2 -1 0, 31.96, 93
0 3 0, 32.30, 88
1 0 -3, 32.60, 100
1 1 6, 51.47, 26
-1 2 6, 61.79, 41
1 4 6, 62.08, 27

Structural model:
```
data_NdY4Er4
_cell_length_a 6.748
_cell_length_b 8.669
_cell_length_c 10.653
_cell_angle_alpha 78.12
_cell_angle_beta 74.82
_cell_angle_gamma 76.06
_symmetry_space_group_name_H-M 'P -1'
_symmetry_Int_Tables_number 2
_symmetry_space_group_name_Hall '-P 1'
loop_
_atom_site_label
_atom_site_fract_x
_atom_site_fract_y
_atom_site_fract_z
_atom_site_occupancy
Nd1 0.241 0.464 0.216 1
Y1 0.076 0.171 0.791 1
Y2 0.080 0.162 0.125 1
Y3 0.244 0.481 0.545 1
Y4 0.254 0.476 0.880 1
Er1 0.086 0.160 0.461 1
Er2 0.384 0.837 0.628 1
Er3 0.390 0.842 0.960 1
Er4 0.392 0.839 0.297 1
```



YThReAg: theoretical X-ray powder pattern (Cu Kα (λ = 1.5418 Å)), based on a crystal structure in Alexandria, relaxed with PBE.
Kinematic intensities with the Lorentz-polarization factor, no thermal factor.

Most intense lines, 10 to 80 degrees two-theta, in order of rising 2θ:
(hkl), 2θ (°), I_rel
1 1 1, 21.45, 13
2 2 0, 35.38, 100
3 1 1, 41.75, 8
4 0 0, 50.90, 18
3 3 1, 55.85, 4
4 2 2, 63.51, 36
5 1 1, 67.87, 3
4 4 0, 74.85, 11
5 3 1, 78.93, 3

Structural model:
```
data_YThReAg
_cell_length_a 7.176
_cell_length_b 7.176
_cell_length_c 7.176
_cell_angle_alpha 90.00
_cell_angle_beta 90.00
_cell_angle_gamma 90.00
_symmetry_space_group_name_H-M 'F -4 3 m'
_symmetry_Int_Tables_number 216
_symmetry_space_group_name_Hall 'F -4 2 3'
loop_
_atom_site_label
_atom_site_fract_x
_atom_site_fract_y
_atom_site_fract_z
_atom_site_occupancy
Y1 0.000 0.000 0.000 1
Th1 0.000 0.000 0.500 1
Re1 0.250 0.250 0.750 1
Ag1 0.250 0.250 0.250 1
```



Nd8TcNi2: theoretical X-ray powder pattern (Cu Kα (λ = 1.5418 Å)), based on a crystal structure in Alexandria, relaxed with PBE.
Kinematic intensities with the Lorentz-polarization factor, no thermal factor.

Most intense lines, 10 to 80 degrees two-theta, in order of rising 2θ:
(hkl), 2θ (°), I_rel
2 2 -1, 26.61, 26
1 1 -2, 30.28, 100
0 4 1, 31.25, 58
2 0 1, 32.09, 49
3 1 -1, 33.46, 52
2 2 -2, 34.85, 18
2 4 0, 35.63, 46
1 5 -1, 37.55, 43
2 4 2, 53.74, 18
1 5 -3, 57.64, 15

Structural model:
```
data_Nd8TcNi2
_cell_length_a 8.262
_cell_length_b 13.253
_cell_length_c 6.050
_cell_angle_alpha 90.00
_cell_angle_beta 110.08
_cell_angle_gamma 90.00
_symmetry_space_group_name_H-M 'C 1 m 1'
_symmetry_Int_Tables_number 8
_symmetry_space_group_name_Hall 'C -2y'
loop_
_atom_site_label
_atom_site_fract_x
_atom_site_fract_y
_atom_site_fract_z
_atom_site_occupancy
Nd1 0.000 0.000 0.000 1
Nd2 0.072 0.375 0.759 1
Nd3 0.143 0.126 0.572 1
Nd4 0.224 0.500 0.345 1
Nd5 0.354 0.210 0.168 1
Tc1 0.369 0.000 0.223 1
Ni1 0.360 0.296 0.671 1
```



GeAs2S6: theoretical X-ray powder pattern (Cu Kα (λ = 1.5418 Å)), based on a crystal structure in Alexandria, relaxed with PBE.
Kinematic intensities with the Lorentz-polarization factor, no thermal factor.

Most intense lines, 10 to 80 degrees two-theta, in order of rising 2θ:
(hkl), 2θ (°), I_rel
1 1 0, 21.67, 100
1 0 3, 28.47, 39
1 1 3, 32.46, 34
2 1 0, 34.57, 13
2 1 3, 42.46, 81
2 2 0, 44.16, 27
0 0 6, 48.88, 15
3 0 3, 53.38, 40
1 1 6, 54.06, 16
2 2 6, 67.98, 14

Structural model:
```
data_GeAs2S6
_cell_length_a 5.801
_cell_length_b 5.801
_cell_length_c 11.179
_cell_angle_alpha 90.00
_cell_angle_beta 90.00
_cell_angle_gamma 90.00
_symmetry_space_group_name_H-M 'P 42/m n m'
_symmetry_Int_Tables_number 136
_symmetry_space_group_name_Hall '-P 4n 2n'
loop_
_atom_site_label
_atom_site_fract_x
_atom_site_fract_y
_atom_site_fract_z
_atom_site_occupancy
Ge1 0.000 0.000 0.000 1
As1 0.000 0.000 0.335 1
S1 0.192 0.192 0.164 1
S2 0.197 0.197 0.500 1
```



CsTlSbPb: theoretical X-ray powder pattern (Cu Kα (λ = 1.5418 Å)), based on a crystal structure in Alexandria, relaxed with PBE.
Kinematic intensities with the Lorentz-polarization factor, no thermal factor.

Most intense lines, 10 to 80 degrees two-theta, in order of rising 2θ:
(hkl), 2θ (°), I_rel
0 0 3, 12.61, 82
0 1 2, 20.77, 22
0 0 6, 25.43, 70
0 1 5, 28.51, 67
1 1 0, 33.16, 100
1 1 3, 35.61, 43
1 1 6, 42.23, 52
2 0 5, 44.29, 20
1 2 5, 56.43, 20
3 0 0, 59.24, 19

Structural model:
```
data_CsTlSbPb
_cell_length_a 5.4030
_cell_length_b 5.4030
_cell_length_c 21.0589
_cell_angle_alpha 90.00
_cell_angle_beta 90.00
_cell_angle_gamma 120.00
_symmetry_space_group_name_H-M 'R 3 m'
_symmetry_Int_Tables_number 160
_symmetry_space_group_name_Hall 'R 3 -2"'
loop_
_atom_site_label
_atom_site_fract_x
_atom_site_fract_y
_atom_site_fract_z
_atom_site_occupancy
Cs1 0.0000 0.0000 0.0000 1
Tl1 0.0000 0.0000 0.4645 1
Sb1 0.0000 0.0000 0.2028 1
Pb1 0.0000 0.0000 0.8116 1
```



IrS2Br: theoretical X-ray powder pattern (Cu Kα (λ = 1.5418 Å)), based on a crystal structure in Alexandria, relaxed with PBE.
Kinematic intensities with the Lorentz-polarization factor, no thermal factor.

Most intense lines, 10 to 80 degrees two-theta, in order of rising 2θ:
(hkl), 2θ (°), I_rel
1 0 0, 10.78, 16
0 0 2, 13.46, 100
1 0 -2, 15.45, 79
2 0 0, 21.65, 30
1 1 -2, 29.12, 16
1 1 2, 31.17, 69
3 0 -2, 32.78, 41
0 1 4, 36.89, 31
1 1 4, 40.12, 46
4 1 0, 51.12, 25

Structural model:
```
data_IrS2Br
_cell_length_a 8.385
_cell_length_b 3.628
_cell_length_c 13.438
_cell_angle_alpha 90.00
_cell_angle_beta 101.78
_cell_angle_gamma 90.00
_symmetry_space_group_name_H-M 'P 1 21/c 1'
_symmetry_Int_Tables_number 14
_symmetry_space_group_name_Hall '-P 2ybc'
loop_
_atom_site_label
_atom_site_fract_x
_atom_site_fract_y
_atom_site_fract_z
_atom_site_occupancy
Ir1 0.187 0.233 0.035 1
S1 0.079 0.736 0.929 1
S2 0.419 0.200 0.970 1
Br1 0.280 0.730 0.171 1
```



Ac2BeGe3Pt4: theoretical X-ray powder pattern (Cu Kα (λ = 1.5418 Å)), based on a crystal structure in Alexandria, relaxed with PBE.
Kinematic intensities with the Lorentz-polarization factor, no thermal factor.

Most intense lines, 10 to 80 degrees two-theta, in order of rising 2θ:
(hkl), 2θ (°), I_rel
1 1 0, 28.40, 26
1 1 1, 29.77, 46
1 0 3, 33.33, 97
1 1 2, 33.56, 100
2 0 0, 40.60, 82
1 0 5, 49.44, 24
2 1 3, 53.50, 52
2 2 0, 58.77, 28
1 1 6, 62.44, 22
3 1 2, 69.41, 25

Structural model:
```
data_Ac2BeGe3Pt4
_cell_length_a 4.444
_cell_length_b 4.444
_cell_length_c 10.130
_cell_angle_alpha 90.00
_cell_angle_beta 90.00
_cell_angle_gamma 90.00
_symmetry_space_group_name_H-M 'P -4 m 2'
_symmetry_Int_Tables_number 115
_symmetry_space_group_name_Hall 'P -4 -2'
loop_
_atom_site_label
_atom_site_fract_x
_atom_site_fract_y
_atom_site_fract_z
_atom_site_occupancy
Ac1 0.000 0.500 0.242 1
Be1 0.500 0.500 0.000 1
Ge1 0.000 0.000 0.000 1
Ge2 0.000 0.500 0.629 1
Pt1 0.000 0.000 0.500 1
Pt2 0.000 0.500 0.884 1
Pt3 0.500 0.500 0.500 1
```



TeP2Pb: theoretical X-ray powder pattern (Cu Kα (λ = 1.5418 Å)), based on a crystal structure in Alexandria, relaxed with PBE.
Kinematic intensities with the Lorentz-polarization factor, no thermal factor.

Most intense lines, 10 to 80 degrees two-theta, in order of rising 2θ:
(hkl), 2θ (°), I_rel
0 0 1, 15.98, 37
1 0 -1, 20.18, 21
0 1 1, 28.37, 33
1 0 1, 30.38, 23
1 0 -2, 30.61, 38
1 1 0, 30.95, 100
2 0 -1, 37.39, 13
0 1 2, 40.19, 32
2 0 0, 40.78, 14
0 2 0, 47.67, 33

Structural model:
```
data_TeP2Pb
_cell_length_a 4.811
_cell_length_b 3.819
_cell_length_c 6.028
_cell_angle_alpha 90.00
_cell_angle_beta 113.08
_cell_angle_gamma 90.00
_symmetry_space_group_name_H-M 'P 1 m 1'
_symmetry_Int_Tables_number 6
_symmetry_space_group_name_Hall 'P -2y'
loop_
_atom_site_label
_atom_site_fract_x
_atom_site_fract_y
_atom_site_fract_z
_atom_site_occupancy
Te1 0.000 0.000 0.000 1
P1 0.094 0.000 0.607 1
P2 0.395 0.500 0.675 1
Pb1 0.543 0.500 0.250 1
```



Ho2Ni16H: theoretical X-ray powder pattern (Cu Kα (λ = 1.5418 Å)), based on a crystal structure in Alexandria, relaxed with PBE.
Kinematic intensities with the Lorentz-polarization factor, no thermal factor.

Most intense lines, 10 to 80 degrees two-theta, in order of rising 2θ:
(hkl), 2θ (°), I_rel
1 1 3, 31.18, 44
3 0 0, 37.63, 30
0 2 4, 39.28, 15
2 2 0, 43.73, 46
3 0 3, 44.20, 100
0 0 6, 45.61, 39
2 2 3, 49.64, 16
4 1 3, 63.93, 15
2 2 6, 65.02, 17
3 3 3, 72.50, 17

Structural model:
```
data_Ho2Ni16H
_cell_length_a 8.2802
_cell_length_b 8.2802
_cell_length_c 11.9362
_cell_angle_alpha 90.00
_cell_angle_beta 90.00
_cell_angle_gamma 120.00
_symmetry_space_group_name_H-M 'R 3 m'
_symmetry_Int_Tables_number 160
_symmetry_space_group_name_Hall 'R 3 -2"'
loop_
_atom_site_label
_atom_site_fract_x
_atom_site_fract_y
_atom_site_fract_z
_atom_site_occupancy
Ho1 0.0000 0.0000 0.0000 1
Ho2 0.0000 0.0000 0.3263 1
Ni1 0.0000 0.0000 0.5912 1
Ni2 0.0004 0.2971 0.6680 1
Ni3 0.0039 0.5019 0.1671 1
Ni4 0.1670 0.3339 0.1546 1
Ni5 0.1675 0.3350 0.8466 1
H1 0.0000 0.0000 0.7174 1
```



CsCu2SnCl8: theoretical X-ray powder pattern (Cu Kα (λ = 1.5418 Å)), based on a crystal structure in Alexandria, relaxed with PBE.
Kinematic intensities with the Lorentz-polarization factor, no thermal factor.

Most intense lines, 10 to 80 degrees two-theta, in order of rising 2θ:
(hkl), 2θ (°), I_rel
0 1 0, 13.97, 100
1 0 -2, 24.84, 11
2 1 0, 25.50, 20
1 0 2, 27.32, 24
1 1 -2, 29.80, 21
2 2 1, 30.00, 9
2 1 2, 32.46, 11
-1 2 2, 35.94, 21
1 3 2, 37.55, 15
4 2 0, 52.39, 10

Structural model:
```
data_CsCu2SnCl8
_cell_length_a 7.044
_cell_length_b 7.378
_cell_length_c 8.634
_cell_angle_alpha 69.61
_cell_angle_beta 87.30
_cell_angle_gamma 67.02
_symmetry_space_group_name_H-M 'P -1'
_symmetry_Int_Tables_number 2
_symmetry_space_group_name_Hall '-P 1'
loop_
_atom_site_label
_atom_site_fract_x
_atom_site_fract_y
_atom_site_fract_z
_atom_site_occupancy
Cs1 0.000 0.000 0.000 1
Cu1 0.454 0.048 0.164 1
Sn1 0.000 0.000 0.500 1
Cl1 0.157 0.213 0.268 1
Cl2 0.159 0.696 0.422 1
Cl3 0.320 0.858 0.701 1
Cl4 0.372 0.249 0.883 1
```



YSi2S6: theoretical X-ray powder pattern (Cu Kα (λ = 1.5418 Å)), based on a crystal structure in Alexandria, relaxed with PBE.
Kinematic intensities with the Lorentz-polarization factor, no thermal factor.

Most intense lines, 10 to 80 degrees two-theta, in order of rising 2θ:
(hkl), 2θ (°), I_rel
1 1 0, 10.60, 98
1 1 -1, 16.72, 71
3 1 0, 23.12, 100
2 2 -1, 24.20, 65
2 2 1, 27.14, 51
1 3 1, 29.13, 59
3 3 -1, 33.65, 74
2 0 2, 34.63, 63
5 3 1, 48.59, 44
1 3 -3, 49.51, 57

Structural model:
```
data_YSi2S6
_cell_length_a 12.457
_cell_length_b 11.404
_cell_length_c 6.314
_cell_angle_alpha 90.00
_cell_angle_beta 100.23
_cell_angle_gamma 90.00
_symmetry_space_group_name_H-M 'C 1 2/c 1'
_symmetry_Int_Tables_number 15
_symmetry_space_group_name_Hall '-C 2yc'
loop_
_atom_site_label
_atom_site_fract_x
_atom_site_fract_y
_atom_site_fract_z
_atom_site_occupancy
Y1 0.000 0.123 0.250 1
Si1 0.214 0.426 0.315 1
S1 0.114 0.080 0.652 1
S2 0.147 0.277 0.145 1
S3 0.149 0.426 0.613 1
```